This entry pairs a crystal structure of CoGeC4Cl3O4 with its calculated powder X-ray diffraction pattern. Radiation: Cu Kα X-rays. Structure: a DFT-relaxed cell (PBE+U, OQMD).
Peak positions follow from Bragg's law for the DFT cell and can differ from measured ones.

Unit cell a=25.7104 b=6.4844 c=12.6458 alpha=90.00 beta=106.46 gamma=90.00
Space group Cc (No. 9)
Symmetry-distinct sites (fractional):
Co  0.0000  0.0334  0.0000 x4
Co  0.2473  0.2946  0.2485 x4
Ge  0.1839  0.4626  0.3180 x4
Ge  0.4333  0.3706  0.0612 x4
C  0.0074  0.2069  0.4381 x4
C  0.0335  0.0606  0.1426 x4
C  0.0501  0.1653  0.9546 x4
C  0.1922  0.1361  0.1775 x4
C  0.2578  0.4572  0.6991 x4
C  0.2815  0.2296  0.3876 x4
C  0.2959  0.1698  0.1953 x4
C  0.4472  0.2936  0.4333 x4
Cl  0.1122  0.4401  0.6902 x4
Cl  0.1549  0.2804  0.4333 x4
Cl  0.2154  0.2570  0.9086 x4
Cl  0.3622  0.2865  0.9283 x4
Cl  0.4023  0.4386  0.6716 x4
Cl  0.4611  0.0895  0.1531 x4
O  0.0124  0.3627  0.3978 x4
O  0.0555  0.0785  0.2353 x4
O  0.0823  0.2530  0.9252 x4
O  0.1567  0.0341  0.1283 x4
O  0.2652  0.2949  0.6686 x4
O  0.3052  0.1817  0.4759 x4
O  0.3281  0.0883  0.1631 x4
O  0.4135  0.1792  0.3900 x4

Most intense lines, 2θ from 10° to 80°, sorted by position:
| (hkl) | 2θ (°) | I (rel.) |
| --- | --- | --- |
| 1 1 0 | 14.12 | 51 |
| 2 0 -2 | 14.35 | 100 |
| 1 1 1 | 16.37 | 32 |
| 3 1 0 | 17.42 | 40 |
| 2 0 2 | 18.04 | 66 |
| 1 1 -2 | 19.62 | 35 |
| 7 1 -2 | 28.92 | 34 |
| 6 0 2 | 29.50 | 32 |
| 7 1 -3 | 31.73 | 47 |
| 7 3 -1 | 48.89 | 27 |